Record 1
Diffraction record for LiTb2P2O8. The powder diffractogram is theoretical, not measured: it uses a DFT-relaxed cell (GGA-PBE, the Materials Project) and Cu Kα X-rays.
Neutral-atom scattering factors, no anomalous dispersion.

Structure:
```
LiTb2P2O8
1.0
4.600 -3.506 0.000
4.600 3.506 0.000
-3.664 0.000 4.961
Li Tb P O
1 2 2 8
direct
0.000 0.000 0.000
0.560 0.017 0.397
0.983 0.440 0.603
0.021 0.504 0.147
0.496 0.979 0.853
0.154 0.675 0.112
0.211 0.333 0.308
0.325 0.846 0.888
0.331 0.149 0.690
0.667 0.789 0.692
0.695 0.138 0.145
0.851 0.669 0.310
0.862 0.305 0.855
```

Most intense lines, 2θ = 10–80°, sorted by position:
d/Å  two_theta  Rel. int.
4.961  17.9  46
4.619  19.2  68
3.700  24.1  99
3.506  25.4  100
2.793  32.0  38
2.708  33.1  75
2.556  35.1  59
2.545  35.3  40

=====

Record 2
Diffraction record for LiTb2P2O8. The powder diffractogram is theoretical, not measured: it uses a DFT-relaxed cell (GGA-PBE, the Materials Project) and Cu Kα X-rays.
Neutral-atom scattering factors, no anomalous dispersion.

Structure:
```
LiTb2P2O8
1.0
3.066 -5.197 0.000
3.066 5.197 0.000
-2.884 0.000 5.025
Li Tb P O
1 2 2 8
direct
0.000 0.000 0.000
0.481 0.519 0.500
0.714 0.286 0.000
0.241 0.759 0.000
0.984 0.016 0.500
0.240 0.601 0.173
0.307 0.173 0.663
0.382 0.082 0.168
0.399 0.760 0.827
0.827 0.693 0.337
0.838 0.036 0.685
0.918 0.618 0.832
0.964 0.162 0.315
```

Most intense lines, 2θ = 10–80°, sorted by position:
d/Å  two_theta  Rel. int.
4.735  18.7  30
4.615  19.2  24
3.613  24.6  100
2.873  31.1  17
2.659  33.7  17
2.640  34.0  32
2.575  34.8  16
1.859  49.0  18

=====

Record 3
Diffraction record for LiTbP4O12. The powder diffractogram is theoretical, not measured: it uses a DFT-relaxed cell (GGA-PBE, the Materials Project) and Cu Kα X-rays.
Neutral-atom scattering factors, no anomalous dispersion.

Structure:
```
LiTbP4O12
1.0
8.241 -3.568 0.000
8.241 3.568 0.000
-5.733 0.000 7.863
Li Tb P O
2 2 8 24
direct
0.206 0.794 0.750
0.794 0.206 0.250
0.296 0.704 0.250
0.704 0.296 0.750
0.086 0.189 0.616
0.189 0.086 0.116
0.204 0.505 0.806
0.495 0.796 0.694
0.505 0.204 0.306
0.796 0.495 0.194
0.811 0.914 0.884
0.914 0.811 0.384
0.030 0.282 0.232
0.062 0.071 0.429
0.071 0.062 0.929
0.101 0.676 0.317
0.165 0.325 0.652
0.259 0.491 0.975
0.282 0.030 0.732
0.324 0.899 0.183
0.325 0.165 0.152
0.344 0.512 0.772
0.488 0.656 0.728
0.491 0.259 0.475
0.509 0.741 0.525
0.512 0.344 0.272
0.656 0.488 0.228
0.675 0.835 0.848
0.676 0.101 0.817
0.718 0.970 0.268
0.741 0.509 0.025
0.835 0.675 0.348
0.899 0.324 0.683
0.929 0.938 0.071
0.938 0.929 0.571
0.970 0.718 0.768
```

Most intense lines, 2θ = 10–80°, sorted by position:
d/Å  two_theta  Rel. int.
6.659  13.3  47
5.754  15.4  49
4.353  20.4  100
3.930  22.6  71
3.248  27.5  34
2.881  31.0  40
2.747  32.6  50
1.924  47.2  25

=====

Record 4
Diffraction record for LiTi2P3O12. The powder diffractogram is theoretical, not measured: it uses a DFT-relaxed cell (GGA-PBE, the Materials Project) and Cu Kα X-rays.
Neutral-atom scattering factors, no anomalous dispersion.

Structure:
```
LiTi2P3O12
1.0
8.331 0.000 0.000
-4.125 7.297 0.000
-4.161 -2.393 7.612
Li Ti P O
2 4 6 24
direct
0.000 0.000 0.000
0.165 0.954 0.338
0.256 0.386 0.348
0.268 0.879 0.859
0.659 0.572 0.973
0.690 0.093 0.492
0.183 0.480 0.669
0.186 0.704 0.165
0.464 0.261 0.168
0.479 0.205 0.675
0.750 0.978 0.164
0.752 0.763 0.668
0.134 0.508 0.197
0.173 0.439 0.497
0.232 0.721 0.018
0.244 0.687 0.717
0.278 0.067 0.019
0.326 0.059 0.729
0.329 0.216 0.495
0.344 0.340 0.197
0.354 0.457 0.819
0.377 0.867 0.339
0.549 0.597 0.500
0.586 0.010 0.016
0.595 0.125 0.643
0.599 0.234 0.339
0.618 0.404 0.113
0.649 0.402 0.817
0.686 0.769 0.115
0.719 0.757 0.825
0.768 0.024 0.338
0.796 0.956 0.635
0.954 0.759 0.718
0.961 0.334 0.642
0.980 0.107 0.188
0.995 0.728 0.122
```

Most intense lines, 2θ = 10–80°, sorted by position:
d/Å  two_theta  Rel. int.
6.125  14.5  100
4.476  19.8  57
3.693  24.1  27
3.673  24.2  83
3.654  24.4  56
3.067  29.1  50
3.051  29.3  23
2.811  31.8  33

=====

Record 5
Diffraction record for LiTiP2O7. The powder diffractogram is theoretical, not measured: it uses a DFT-relaxed cell (GGA-PBE, the Materials Project) and Cu Kα X-rays.
Neutral-atom scattering factors, no anomalous dispersion.

Structure:
```
LiTiP2O7
1.0
6.401 0.000 0.000
1.090 6.431 0.000
2.692 0.414 6.270
Li Ti P O
2 2 4 14
direct
0.192 0.082 0.343
0.808 0.918 0.657
0.407 0.349 0.720
0.593 0.651 0.280
0.149 0.604 0.153
0.282 0.865 0.733
0.718 0.135 0.267
0.851 0.396 0.847
0.102 0.396 0.694
0.110 0.956 0.636
0.136 0.783 0.972
0.253 0.396 0.049
0.292 0.676 0.259
0.433 0.019 0.745
0.438 0.668 0.620
0.562 0.332 0.380
0.567 0.981 0.255
0.708 0.324 0.741
0.747 0.604 0.951
0.864 0.217 0.028
0.890 0.044 0.364
0.898 0.604 0.306
```

Most intense lines, 2θ = 10–80°, sorted by position:
d/Å  two_theta  Rel. int.
6.417  13.8  33
5.425  16.3  97
4.344  20.4  40
3.138  28.4  100
3.036  29.4  42
2.936  30.4  68
2.783  32.2  43
2.406  37.4  29